No. 1
For PmAg3F12, a cell relaxed with GGA-PBE gives the computed XRD peak list in this record (Cu Kα (λ = 1.5418 Å)).
Intensities are scaled so that the largest is 100.

Largest 10 diffraction maxima, in order of rising 2θ, 2θ from 15° to 90°:
2theta	intensity
22.4	13
23.5	100
29.7	44
32.7	27
37.1	15
38.2	19
44.7	17
49.1	26
52.6	20
63.3	13

```
data_PmAg3F12
_cell_length_a 10.4372
_cell_length_b 10.4372
_cell_length_c 16.4406
_cell_angle_alpha 90.00
_cell_angle_beta 90.00
_cell_angle_gamma 120.00
_space_group_name_H-M_alt 'R 3 c'
_space_group_IT_number 161
_space_group_name_Hall 'R 3 -2"c'
loop_
_atom_site_label
_atom_site_fract_x
_atom_site_fract_y
_atom_site_fract_z
Pm1 0.0000 0.0000 0.0000
Ag1 0.0142 0.3411 0.2925
F1 0.0579 0.5287 0.1430
F2 0.0843 0.2020 0.2997
F3 0.1667 0.0558 0.6096
F4 0.1961 0.4070 0.1210
```

=====

No. 2
For PrAg6F12, a cell relaxed with GGA-PBE gives the computed XRD peak list in this record (Cu Kα (λ = 1.5418 Å)).
Intensities are scaled so that the largest is 100.

Largest 10 diffraction maxima, in order of rising 2θ, 2θ from 15° to 90°:
2theta	intensity
21.5	12
26.4	41
27.6	100
31.6	47
44.5	31
46.1	30
47.4	9
52.5	14
53.9	25
54.5	11

```
data_PrAg6F12
_cell_length_a 10.4266
_cell_length_b 10.4266
_cell_length_c 10.1380
_cell_angle_alpha 90.00
_cell_angle_beta 90.00
_cell_angle_gamma 120.00
_space_group_name_H-M_alt 'R -3'
_space_group_IT_number 148
_space_group_name_Hall '-R 3'
loop_
_atom_site_label
_atom_site_fract_x
_atom_site_fract_y
_atom_site_fract_z
Pr1 0.0000 0.0000 0.0000
Ag1 0.0223 0.7759 0.6473
F1 0.0072 0.8012 0.3744
F2 0.0094 0.1908 0.1237
```

=====

No. 3
For PrAg2F8, a cell relaxed with GGA-PBE gives the computed XRD peak list in this record (Cu Kα (λ = 1.5418 Å)).
Intensities are scaled so that the largest is 100.

Largest 10 diffraction maxima, in order of rising 2θ, 2θ from 15° to 90°:
2theta	intensity
17.4	51
27.2	100
31.1	18
35.8	16
42.8	13
44.5	17
45.5	38
52.9	31
54.7	20
73.1	13

```
data_PrAg2F8
_cell_length_a 5.757
_cell_length_b 5.757
_cell_length_c 11.059
_cell_angle_alpha 90.00
_cell_angle_beta 90.00
_cell_angle_gamma 90.00
_space_group_name_H-M_alt 'I 4 2 2'
_space_group_IT_number 97
_space_group_name_Hall 'I 4 2'
loop_
_atom_site_label
_atom_site_fract_x
_atom_site_fract_y
_atom_site_fract_z
Pr1 0.000 0.000 0.000
Ag1 0.000 0.500 0.250
F1 0.166 0.304 0.877
```